Computed powder XRD pattern
Compound: Na2LiNi3O6
Radiation: λ = 1.5418 Å (Cu Kα)
Structure: DFT lattice parameters and positions (PBE+U)
No peak broadening, texture or thermal motion is included.

Structural model:
a b c (Å): 3.0199 6.1925 6.7234
angles (deg): 72.18 77.96 86.31
Fractional positions:
Na 0.1664 0.3310 0.1689
Na 0.8336 0.6690 0.8311
Li 0.5000 0.0000 0.5000
Ni 0.1695 0.8368 0.1678
Ni 0.5000 0.5000 0.5000
Ni 0.8305 0.1632 0.8322
O 0.0495 0.7413 0.4734
O 0.2942 0.9391 0.8571
O 0.3747 0.3929 0.8030
O 0.6253 0.6071 0.1970
O 0.7058 0.0609 0.1429
O 0.9505 0.2587 0.5266

Peak list (6 most intense, 10° ≤ 2θ ≤ 80°, in order of rising 2θ)
- 17.3°, rel. 100, hkl 0 1 1
- 37.4°, rel. 22, hkl 0 2 -1
- 40.5°, rel. 45, hkl 1 2 1
- 43.3°, rel. 34, hkl 0 0 3
- 43.4°, rel. 34, hkl 1 -2 0
- 60.0°, rel. 22, hkl 1 2 4